1.
Structure and theoretical PXRD pattern of RuW (a crystal structure in the Materials Project, relaxed with PBE; copper Kα).
Neutral-atom scattering factors, no anomalous dispersion.

Largest 8 diffraction maxima, sorted by position, 2θ = 15–90°:
h k l  Position (°2θ)  I/Imax
1 0 0  37.24  29
0 0 2  40.19  25
1 0 1  42.51  100
1 0 2  55.94  18
1 1 0  67.14  17
1 0 3  74.64  19
1 1 2  81.24  20
2 0 1  82.79  15

abc: 2.7882 2.7882 4.4877
angles: 90.00 90.00 120.00
Space group P-6m2 (No. 187)
Unique sites:
Ru (0.0000, 0.0000, 0.0000) (multiplicity 1)
W (0.6667, 0.3333, 0.5000) (multiplicity 1)

=====

2.
Structure and theoretical PXRD pattern of Dy3InN (a crystal structure in the Materials Project, relaxed with PBE; copper Kα).
Neutral-atom scattering factors, no anomalous dispersion.

Largest 8 diffraction maxima, sorted by position, 2θ = 15–90°:
h k l  Position (°2θ)  I/Imax
1 0 0  18.41  3
1 1 1  32.17  100
2 0 0  37.32  55
2 2 0  53.81  38
3 1 1  64.09  42
2 2 2  67.31  13
4 0 0  79.57  6
3 3 1  88.43  18

abc: 4.8189 4.8189 4.8189
angles: 90.00 90.00 90.00
Space group Pm-3m (No. 221)
Unique sites:
Dy (0.0000, 0.0000, 0.5000) (multiplicity 3)
In (0.5000, 0.5000, 0.5000) (multiplicity 1)
N (0.0000, 0.0000, 0.0000) (multiplicity 1)

=====

3.
Structure and theoretical PXRD pattern of Ba3Sb4O (a crystal structure in the Materials Project, relaxed with PBE; copper Kα).
Neutral-atom scattering factors, no anomalous dispersion.

Largest 8 diffraction maxima, sorted by position, 2θ = 15–90°:
h k l  Position (°2θ)  I/Imax
1 0 2  23.39  32
1 3 -2  25.84  100
2 1 -1  26.09  28
0 4 1  28.37  30
0 3 3  30.20  85
1 3 2  31.26  29
2 0 -4  31.56  29
2 3 -1  32.68  73

abc: 7.1271 13.0302 13.1323
angles: 90.00 112.37 90.00
Space group P2_1/c (No. 14)
Unique sites:
Ba (0.1118, 0.0518, 0.2220) (multiplicity 4)
Ba (0.2963, 0.5581, 0.0468) (multiplicity 4)
Ba (0.3090, 0.2334, 0.9785) (multiplicity 4)
Sb (0.1496, 0.1564, 0.6857) (multiplicity 4)
Sb (0.2042, 0.7314, 0.7647) (multiplicity 4)
Sb (0.2232, 0.6558, 0.5627) (multiplicity 4)
Sb (0.4312, 0.0175, 0.8432) (multiplicity 4)
O (0.3334, 0.0865, 0.4206) (multiplicity 4)

=====

4.
Structure and theoretical PXRD pattern of LiAcTl2 (a crystal structure in the Materials Project, relaxed with PBE; copper Kα).
Neutral-atom scattering factors, no anomalous dispersion.

Largest 8 diffraction maxima, sorted by position, 2θ = 15–90°:
h k l  Position (°2θ)  I/Imax
1 1 1  19.66  27
2 0 0  22.74  9
2 2 0  32.38  100
3 1 1  38.16  15
4 0 0  46.44  19
4 2 2  57.75  40
4 4 0  67.78  12
6 2 0  77.13  17

abc: 7.8210 7.8210 7.8210
angles: 90.00 90.00 90.00
Space group Fm-3m (No. 225)
Unique sites:
Li (0.0000, 0.0000, 0.0000) (multiplicity 4)
Ac (0.0000, 0.0000, 0.5000) (multiplicity 4)
Tl (0.2500, 0.2500, 0.2500) (multiplicity 8)

=====

5.
Structure and theoretical PXRD pattern of SiPd (a crystal structure in the Materials Project, relaxed with PBE; copper Kα).
Neutral-atom scattering factors, no anomalous dispersion.

Largest 8 diffraction maxima, sorted by position, 2θ = 15–90°:
h k l  Position (°2θ)  I/Imax
1 1 0  15.11  64
2 0 0  21.43  72
2 1 1  30.84  100
3 1 0  34.19  36
0 0 2  38.74  37
3 3 0  46.46  28
4 1 1  49.37  80
3 3 2  62.04  23

abc: 8.2925 8.2925 4.6490
angles: 90.00 90.00 90.00
Space group I4/mcm (No. 140)
Unique sites:
Si (0.1108, 0.3892, 0.0000) (multiplicity 8)
Pd (0.1783, 0.3217, 0.5000) (multiplicity 8)

=====

6.
Structure and theoretical PXRD pattern of B2IrCl (a crystal structure in the Materials Project, relaxed with PBE; copper Kα).
Neutral-atom scattering factors, no anomalous dispersion.

Largest 8 diffraction maxima, sorted by position, 2θ = 15–90°:
h k l  Position (°2θ)  I/Imax
1 1 1  27.09  100
2 0 0  31.39  98
2 2 0  44.98  95
3 1 1  53.30  51
2 2 2  55.87  26
3 3 1  72.24  21
4 2 0  74.43  33
4 2 2  82.99  32

abc: 5.7004 5.7004 5.7004
angles: 90.00 90.00 90.00
Space group Fm-3m (No. 225)
Unique sites:
B (0.2500, 0.2500, 0.2500) (multiplicity 8)
Ir (0.0000, 0.0000, 0.0000) (multiplicity 4)
Cl (0.0000, 0.0000, 0.5000) (multiplicity 4)

=====

7.
Structure and theoretical PXRD pattern of LiZrPt2 (a crystal structure in the Materials Project, relaxed with PBE; copper Kα).
Neutral-atom scattering factors, no anomalous dispersion.

Largest 8 diffraction maxima, sorted by position, 2θ = 15–90°:
h k l  Position (°2θ)  I/Imax
1 1 1  23.92  9
2 0 0  27.69  44
2 2 0  39.56  100
2 2 2  48.97  13
4 0 0  57.18  17
4 2 0  64.69  17
4 2 2  71.76  35
4 4 0  85.18  11

abc: 6.4439 6.4439 6.4439
angles: 90.00 90.00 90.00
Space group Fm-3m (No. 225)
Unique sites:
Li (0.0000, 0.0000, 0.0000) (multiplicity 4)
Zr (0.0000, 0.0000, 0.5000) (multiplicity 4)
Pt (0.2500, 0.2500, 0.2500) (multiplicity 8)

=====

Which formula does entry 6 have? B2IrCl